1.
Computed powder XRD pattern
Compound: BN
Radiation: a wavelength of 1.5418 Å
Structure: a GGA-PBE-relaxed structure
No peak broadening, texture or thermal motion is included.

Crystal structure
```
data_BN
_chemical_formula_sum 'B2 N2'
_space_group_name_H-M_alt 'P 63/m m c'
_space_group_IT_number 194
_space_group_name_Hall '-P 6c 2c'
_cell_length_a 2.5159
_cell_length_b 2.5159
_cell_length_c 7.2583
_cell_angle_alpha 90.00
_cell_angle_beta 90.00
_cell_angle_gamma 120.00
loop_
_atom_site_label
_atom_site_fract_x
_atom_site_fract_y
_atom_site_fract_z
B1 0.0000 0.0000 0.2500
N1 0.3333 0.6667 0.2500
```

Top 6 peaks for 10 to 90 degrees two-theta, low angle first:
2θ (°), Rel. int., (hkl)
24.53, 100, 0 0 2
43.36, 25, 1 0 1
50.28, 8, 0 0 4
56.87, 8, 1 0 3
75.59, 5, 1 1 0
80.87, 9, 1 1 2

2.
Computed powder XRD pattern
Compound: BN
Radiation: a wavelength of 1.5418 Å
Structure: a GGA-PBE-relaxed structure
No peak broadening, texture or thermal motion is included.

Crystal structure
```
data_BN
_chemical_formula_sum 'B8 N8'
_space_group_name_H-M_alt 'C 1 m 1'
_space_group_IT_number 8
_space_group_name_Hall 'C -2y'
_cell_length_a 13.1090
_cell_length_b 2.5120
_cell_length_c 4.3985
_cell_angle_alpha 90.00
_cell_angle_beta 90.52
_cell_angle_gamma 90.00
loop_
_atom_site_label
_atom_site_fract_x
_atom_site_fract_y
_atom_site_fract_z
B1 0.0000 0.0000 0.0000
B2 0.0314 0.5000 0.4995
B3 0.1999 0.0000 0.4289
B4 0.3657 0.5000 0.3818
N1 0.0061 0.5000 0.8443
N2 0.1468 0.5000 0.4450
N3 0.3122 0.0000 0.3942
N4 0.4807 0.5000 0.3443
```

Top 6 peaks for 10 to 90 degrees two-theta, low angle first:
2θ (°), Rel. int., (hkl)
13.51, 71, 2 0 0
20.19, 100, 0 0 1
24.48, 29, 2 0 1
41.04, 24, 0 0 2
41.33, 18, 6 0 0
46.62, 17, 3 1 1

3.
Computed powder XRD pattern
Compound: BN
Radiation: a wavelength of 1.5418 Å
Structure: a GGA-PBE-relaxed structure
No peak broadening, texture or thermal motion is included.

Crystal structure
```
data_BN
_chemical_formula_sum 'B4 N4'
_space_group_name_H-M_alt 'P 42/m n m'
_space_group_IT_number 136
_space_group_name_Hall '-P 4n 2n'
_cell_length_a 4.4242
_cell_length_b 4.4242
_cell_length_c 2.5504
_cell_angle_alpha 90.00
_cell_angle_beta 90.00
_cell_angle_gamma 90.00
loop_
_atom_site_label
_atom_site_fract_x
_atom_site_fract_y
_atom_site_fract_z
B1 0.1743 0.1743 0.0000
N1 0.1874 0.8126 0.0000
```

Top 6 peaks for 10 to 90 degrees two-theta, low angle first:
2θ (°), Rel. int., (hkl)
28.53, 13, 1 1 0
40.81, 100, 2 0 0
45.90, 13, 1 1 1
59.08, 15, 2 2 0
74.29, 24, 3 0 1
88.41, 13, 3 2 1

4.
Computed powder XRD pattern
Compound: BN
Radiation: a wavelength of 1.5418 Å
Structure: a GGA-PBE-relaxed structure
No peak broadening, texture or thermal motion is included.

Crystal structure
```
data_BN
_chemical_formula_sum 'B2 N2'
_space_group_name_H-M_alt 'P 63 m c'
_space_group_IT_number 186
_space_group_name_Hall 'P 6c -2c'
_cell_length_a 2.5539
_cell_length_b 2.5539
_cell_length_c 4.2269
_cell_angle_alpha 90.00
_cell_angle_beta 90.00
_cell_angle_gamma 120.00
loop_
_atom_site_label
_atom_site_fract_x
_atom_site_fract_y
_atom_site_fract_z
B1 0.3333 0.6667 0.0000
N1 0.3333 0.6667 0.6256
```

Top 6 peaks for 10 to 90 degrees two-theta, low angle first:
2θ (°), Rel. int., (hkl)
40.80, 100, 1 0 0
42.79, 59, 0 0 2
46.33, 75, 1 0 1
74.27, 42, 1 1 0
80.89, 42, 1 0 3
89.72, 26, 1 1 2